(1)
For Cs2OsCl5, the GGA-PBE geometry in Alexandria gives the computed X-ray diffraction stick pattern in this record (Cu Kα, 1.54184 Å).

Atomic structure:
```
data_Cs2OsCl5
_chemical_formula_sum 'Cs4 Os2 Cl10'
_symmetry_space_group_name_H-M 'I 4 m m'
_symmetry_Int_Tables_number 107
_symmetry_space_group_name_Hall 'I 4 -2'
_cell_length_a 7.610
_cell_length_b 7.610
_cell_length_c 9.923
_cell_angle_alpha 90.00
_cell_angle_beta 90.00
_cell_angle_gamma 90.00
loop_
_atom_site_label
_atom_site_type_symbol
_atom_site_fract_x
_atom_site_fract_y
_atom_site_fract_z
_atom_site_occupancy
Cs1 Cs 0.000 0.500 0.000 1
Os1 Os 0.000 0.000 0.234 1
Cl1 Cl 0.000 0.000 0.003 1
Cl2 Cl 0.219 0.219 0.250 1
```

Peak list (12 most intense, 10° ≤ 2θ ≤ 90°, sorted by position)
hkl  2θ (°)  I (rel.)
1 0 1  14.67  95
2 0 0  23.38  38
1 1 2  24.40  100
2 1 1  27.71  24
1 0 3  29.44  15
2 0 2  29.59  24
2 2 0  33.30  49
0 0 4  36.21  20
3 1 2  41.71  44
3 2 1  43.85  17
4 0 0  47.81  16
2 2 4  50.01  28

=====

(2)
For TiZn3Cu4, the GGA-PBE geometry in Alexandria gives the computed X-ray diffraction stick pattern in this record (Cu Kα, 1.54184 Å).

Atomic structure:
```
data_TiZn3Cu4
_chemical_formula_sum 'Ti2 Zn6 Cu8'
_symmetry_space_group_name_H-M 'P m m a'
_symmetry_Int_Tables_number 51
_cell_length_a 8.406
_cell_length_b 6.066
_cell_length_c 4.202
_cell_angle_alpha 90.00
_cell_angle_beta 90.00
_cell_angle_gamma 90.00
loop_
_symmetry_equiv_pos_as_xyz
'x,y,z'
'-x,-y,-z'
'-x+1/2,-y,z'
'x+1/2,y,-z'
'x+1/2,-y,-z'
'-x+1/2,y,z'
'-x,y,-z'
'x,-y,z'
loop_
_atom_site_label
_atom_site_type_symbol
_atom_site_fract_x
_atom_site_fract_y
_atom_site_fract_z
_atom_site_occupancy
Ti1 Ti 0.000 0.000 0.000 1
Zn1 Zn 0.000 0.500 0.000 1
Zn2 Zn 0.250 0.000 0.499 1
Zn3 Zn 0.250 0.500 0.498 1
Cu1 Cu 0.000 0.255 0.500 1
Cu2 Cu 0.250 0.255 0.998 1
```

Peak list (9 most intense, 10° ≤ 2θ ≤ 90°, sorted by position)
hkl  2θ (°)  I (rel.)
0 1 0  14.60  1
2 0 0  21.14  1
0 1 1  25.79  1
2 2 1  42.59  100
4 0 0  43.05  49
0 4 0  61.11  8
4 0 2  62.51  15
4 4 0  77.65  15
6 2 1  78.59  29

=====

(3)
For Th3C2Cl, the GGA-PBE geometry in Alexandria gives the computed X-ray diffraction stick pattern in this record (Cu Kα, 1.54184 Å).

Atomic structure:
```
data_Th3C2Cl
_chemical_formula_sum 'Th6 C4 Cl2'
_symmetry_space_group_name_H-M 'P 63/m m c'
_symmetry_Int_Tables_number 194
_symmetry_space_group_name_Hall '-P 6c 2c'
_cell_length_a 3.7821
_cell_length_b 3.7821
_cell_length_c 20.8036
_cell_angle_alpha 90.00
_cell_angle_beta 90.00
_cell_angle_gamma 120.00
loop_
_atom_site_label
_atom_site_type_symbol
_atom_site_fract_x
_atom_site_fract_y
_atom_site_fract_z
_atom_site_occupancy
Th1 Th 0.0000 0.0000 0.0000 1
Th2 Th 0.3333 0.6667 0.1390 1
C1 C 0.3333 0.6667 0.5806 1
Cl1 Cl 0.0000 0.0000 0.2500 1
```

Peak list (12 most intense, 10° ≤ 2θ ≤ 90°, sorted by position)
hkl  2θ (°)  I (rel.)
0 0 6  25.69  20
1 0 1  27.57  55
1 0 2  28.57  29
1 0 3  30.18  16
1 0 4  32.30  100
0 0 8  34.49  22
1 0 5  34.86  51
1 1 0  48.14  63
1 1 6  55.34  16
2 0 4  59.14  18
1 1 8  60.54  26
3 0 0  89.87  16

=====

(4)
For Tl2Os3O8, the GGA-PBE geometry in Alexandria gives the computed X-ray diffraction stick pattern in this record (Cu Kα, 1.54184 Å).

Atomic structure:
```
data_Tl2Os3O8
_chemical_formula_sum 'Tl4 Os6 O16'
_symmetry_space_group_name_H-M 'P 63 m c'
_symmetry_Int_Tables_number 186
_symmetry_space_group_name_Hall 'P 6c -2c'
_cell_length_a 5.7768
_cell_length_b 5.7768
_cell_length_c 14.8497
_cell_angle_alpha 90.00
_cell_angle_beta 90.00
_cell_angle_gamma 120.00
loop_
_atom_site_label
_atom_site_type_symbol
_atom_site_fract_x
_atom_site_fract_y
_atom_site_fract_z
_atom_site_occupancy
Tl1 Tl 0.3333 0.6667 0.0000 1
Tl2 Tl 0.3333 0.6667 0.3866 1
Os1 Os 0.1496 0.2991 0.7009 1
O1 O 0.0000 0.0000 0.2958 1
O2 O 0.0106 0.5053 0.7634 1
O3 O 0.1535 0.3070 0.1135 1
O4 O 0.3333 0.6667 0.6343 1
```

Peak list (12 most intense, 10° ≤ 2θ ≤ 90°, sorted by position)
hkl  2θ (°)  I (rel.)
0 0 2  11.92  60
1 0 2  21.42  76
0 0 4  23.97  33
1 0 3  25.31  100
1 1 2  33.28  59
2 0 0  35.90  20
2 0 1  36.42  60
2 0 5  47.52  70
2 1 3  51.75  45
3 0 2  56.56  16
2 2 0  64.53  20
2 2 6  76.38  15

=====

(5)
For NdPt6, the GGA-PBE geometry in Alexandria gives the computed X-ray diffraction stick pattern in this record (Cu Kα, 1.54184 Å).

Atomic structure:
```
data_NdPt6
_chemical_formula_sum 'Nd4 Pt24'
_symmetry_space_group_name_H-M 'P n m a'
_symmetry_Int_Tables_number 62
_cell_length_a 9.243
_cell_length_b 5.333
_cell_length_c 10.318
_cell_angle_alpha 90.00
_cell_angle_beta 90.00
_cell_angle_gamma 90.00
loop_
_symmetry_equiv_pos_as_xyz
'x,y,z'
'-x,-y,-z'
'-x+1/2,-y,z+1/2'
'x+1/2,y,-z+1/2'
'x+1/2,-y+1/2,-z+1/2'
'-x+1/2,y+1/2,z+1/2'
'-x,y+1/2,-z'
'x,-y+1/2,z'
loop_
_atom_site_label
_atom_site_type_symbol
_atom_site_fract_x
_atom_site_fract_y
_atom_site_fract_z
_atom_site_occupancy
Nd1 Nd 0.240 0.250 0.053 1
Pt1 Pt 0.031 0.250 0.553 1
Pt2 Pt 0.048 0.505 0.780 1
Pt3 Pt 0.086 0.750 0.014 1
Pt4 Pt 0.193 0.250 0.341 1
Pt5 Pt 0.198 0.750 0.264 1
```

Peak list (12 most intense, 10° ≤ 2θ ≤ 90°, sorted by position)
hkl  2θ (°)  I (rel.)
0 2 0  33.61  21
0 0 4  34.75  66
1 0 4  36.15  33
2 1 3  36.67  53
0 2 2  37.98  42
2 2 0  38.99  32
3 0 3  39.26  20
4 0 1  40.00  100
2 2 2  42.90  83
4 0 3  47.41  17
5 0 1  50.17  17
4 4 1  84.40  19

=====

(6)
For LiB6C6, the GGA-PBE geometry in Alexandria gives the computed X-ray diffraction stick pattern in this record (Cu Kα, 1.54184 Å).

Atomic structure:
```
data_LiB6C6
_chemical_formula_sum 'Li2 B12 C12'
_symmetry_space_group_name_H-M 'C 1 2/m 1'
_symmetry_Int_Tables_number 12
_cell_length_a 12.242
_cell_length_b 2.767
_cell_length_c 6.705
_cell_angle_alpha 90.00
_cell_angle_beta 111.89
_cell_angle_gamma 90.00
loop_
_symmetry_equiv_pos_as_xyz
'x,y,z'
'-x,-y,-z'
'-x,y,-z'
'x,-y,z'
'x+1/2,y+1/2,z'
'-x+1/2,-y+1/2,-z'
'-x+1/2,y+1/2,-z'
'x+1/2,-y+1/2,z'
loop_
_atom_site_label
_atom_site_type_symbol
_atom_site_fract_x
_atom_site_fract_y
_atom_site_fract_z
_atom_site_occupancy
Li1 Li 0.000 0.000 0.000 1
B1 B 0.034 0.500 0.741 1
B2 B 0.121 0.000 0.596 1
B3 B 0.210 0.000 0.076 1
C1 C 0.024 0.000 0.360 1
C2 C 0.150 0.500 0.963 1
C3 C 0.176 0.500 0.713 1
```

Peak list (12 most intense, 10° ≤ 2θ ≤ 90°, sorted by position)
hkl  2θ (°)  I (rel.)
2 0 -1  16.76  100
4 0 -2  33.89  7
1 1 1  37.60  14
3 1 0  40.38  4
1 1 -2  42.46  5
0 0 3  43.64  6
6 0 0  48.06  3
6 0 -3  51.85  9
0 2 0  67.74  4
3 1 3  68.10  3
1 1 4  72.90  5
7 1 1  74.05  4

=====

(7)
For Ti3Zn2Au2, the GGA-PBE geometry in Alexandria gives the computed X-ray diffraction stick pattern in this record (Cu Kα, 1.54184 Å).

Atomic structure:
```
data_Ti3Zn2Au2
_chemical_formula_sum 'Ti12 Zn8 Au8'
_symmetry_space_group_name_H-M 'C m c e'
_symmetry_Int_Tables_number 64
_symmetry_space_group_name_Hall '-C 2ac 2'
_cell_length_a 4.562
_cell_length_b 7.953
_cell_length_c 13.149
_cell_angle_alpha 90.00
_cell_angle_beta 90.00
_cell_angle_gamma 90.00
loop_
_atom_site_label
_atom_site_type_symbol
_atom_site_fract_x
_atom_site_fract_y
_atom_site_fract_z
_atom_site_occupancy
Ti1 Ti 0.000 0.000 0.000 1
Ti2 Ti 0.000 0.164 0.404 1
Zn1 Zn 0.000 0.000 0.201 1
Au1 Au 0.000 0.171 0.617 1
```

Peak list (12 most intense, 10° ≤ 2θ ≤ 90°, sorted by position)
hkl  2θ (°)  I (rel.)
0 2 1  23.37  25
1 1 2  26.28  100
0 0 4  27.13  40
0 2 3  30.36  18
0 2 4  35.43  35
2 0 0  39.50  52
1 3 1  39.93  91
1 1 5  41.21  70
1 3 3  44.61  34
1 1 6  47.41  28
2 2 4  54.09  24
1 3 9  77.47  17

=====

(8)
For Ce8Tl3, the GGA-PBE geometry in Alexandria gives the computed X-ray diffraction stick pattern in this record (Cu Kα, 1.54184 Å).

Atomic structure:
```
data_Ce8Tl3
_chemical_formula_sum 'Ce16 Tl6'
_symmetry_space_group_name_H-M 'I m m m'
_symmetry_Int_Tables_number 71
_symmetry_space_group_name_Hall '-I 2 2'
_cell_length_a 3.198
_cell_length_b 5.179
_cell_length_c 34.551
_cell_angle_alpha 90.00
_cell_angle_beta 90.00
_cell_angle_gamma 90.00
loop_
_atom_site_label
_atom_site_type_symbol
_atom_site_fract_x
_atom_site_fract_y
_atom_site_fract_z
_atom_site_occupancy
Ce1 Ce 0.000 0.000 0.048 1
Ce2 Ce 0.000 0.000 0.225 1
Ce3 Ce 0.000 0.500 0.089 1
Ce4 Ce 0.000 0.500 0.184 1
Tl1 Tl 0.000 0.000 0.500 1
Tl2 Tl 0.000 0.500 0.364 1
```

Peak list (12 most intense, 10° ≤ 2θ ≤ 90°, sorted by position)
hkl  2θ (°)  I (rel.)
0 1 11  33.37  100
0 2 0  34.59  78
1 0 15  48.72  7
1 2 7  48.88  23
0 0 22  58.86  22
1 2 15  61.16  8
0 3 11  61.27  12
1 3 4  62.03  9
2 1 11  68.27  16
2 2 0  69.04  8
0 2 22  70.07  7
2 3 11  89.10  8

=====

(9)
For Dy6Ga3N, the GGA-PBE geometry in Alexandria gives the computed X-ray diffraction stick pattern in this record (Cu Kα, 1.54184 Å).

Atomic structure:
```
data_Dy6Ga3N
_chemical_formula_sum 'Dy12 Ga6 N2'
_symmetry_space_group_name_H-M 'C 1 2/m 1'
_symmetry_Int_Tables_number 12
_cell_length_a 11.211
_cell_length_b 6.557
_cell_length_c 6.495
_cell_angle_alpha 90.00
_cell_angle_beta 98.14
_cell_angle_gamma 90.00
loop_
_symmetry_equiv_pos_as_xyz
'x,y,z'
'-x,-y,-z'
'-x,y,-z'
'x,-y,z'
'x+1/2,y+1/2,z'
'-x+1/2,-y+1/2,-z'
'-x+1/2,y+1/2,-z'
'x+1/2,-y+1/2,z'
loop_
_atom_site_label
_atom_site_type_symbol
_atom_site_fract_x
_atom_site_fract_y
_atom_site_fract_z
_atom_site_occupancy
Dy1 Dy 0.113 0.245 0.349 1
Dy2 Dy 0.144 0.000 0.851 1
Ga1 Ga 0.000 0.500 0.000 1
Ga2 Ga 0.161 0.500 0.747 1
N1 N 0.000 0.000 0.500 1
```

Peak list (12 most intense, 10° ≤ 2θ ≤ 90°, sorted by position)
hkl  2θ (°)  I (rel.)
0 0 2  27.72  23
3 1 -1  29.44  20
2 0 -2  30.09  46
0 2 1  30.61  61
4 0 0  32.26  56
4 0 -1  33.31  27
2 2 -1  33.75  83
2 0 2  34.15  64
2 2 1  35.65  100
0 2 3  50.90  28
0 4 0  56.10  20
6 2 1  61.03  21

=====

(10)
For Nb7Mo2W3, the GGA-PBE geometry in Alexandria gives the computed X-ray diffraction stick pattern in this record (Cu Kα, 1.54184 Å).

Atomic structure:
```
data_Nb7Mo2W3
_chemical_formula_sum 'Nb14 Mo4 W6'
_symmetry_space_group_name_H-M 'C m m m'
_symmetry_Int_Tables_number 65
_symmetry_space_group_name_Hall '-C 2 2'
_cell_length_a 4.615
_cell_length_b 22.112
_cell_length_c 4.471
_cell_angle_alpha 90.00
_cell_angle_beta 90.00
_cell_angle_gamma 90.00
loop_
_atom_site_label
_atom_site_type_symbol
_atom_site_fract_x
_atom_site_fract_y
_atom_site_fract_z
_atom_site_occupancy
Nb1 Nb 0.000 0.000 0.000 1
Nb2 Nb 0.000 0.077 0.500 1
Nb3 Nb 0.000 0.285 0.000 1
Nb4 Nb 0.000 0.426 0.000 1
Mo1 Mo 0.000 0.148 0.000 1
W1 W 0.000 0.354 0.500 1
W2 W 0.000 0.500 0.500 1
```

Peak list (12 most intense, 10° ≤ 2θ ≤ 90°, sorted by position)
hkl  2θ (°)  I (rel.)
1 1 0  19.65  8
1 5 1  34.52  8
2 0 0  39.03  27
1 7 1  40.04  100
0 0 2  40.35  25
2 0 2  57.39  18
0 14 0  58.43  8
3 7 1  71.39  18
2 14 0  72.52  8
1 7 3  73.15  17
0 14 2  73.40  8
2 14 2  86.42  10

=====

(11)
For NaPr3, the GGA-PBE geometry in Alexandria gives the computed X-ray diffraction stick pattern in this record (Cu Kα, 1.54184 Å).

Atomic structure:
```
data_NaPr3
_chemical_formula_sum 'Na2 Pr6'
_symmetry_space_group_name_H-M 'I m m 2'
_symmetry_Int_Tables_number 44
_cell_length_a 3.771
_cell_length_b 12.028
_cell_length_c 6.246
_cell_angle_alpha 90.00
_cell_angle_beta 90.00
_cell_angle_gamma 90.00
loop_
_symmetry_equiv_pos_as_xyz
'x,y,z'
'-x,-y,z'
'-x,y,z'
'x,-y,z'
'x+1/2,y+1/2,z+1/2'
'-x+1/2,-y+1/2,z+1/2'
'-x+1/2,y+1/2,z+1/2'
'x+1/2,-y+1/2,z+1/2'
loop_
_atom_site_label
_atom_site_type_symbol
_atom_site_fract_x
_atom_site_fract_y
_atom_site_fract_z
_atom_site_occupancy
Na1 Na 0.000 0.000 0.000 1
Pr1 Pr 0.000 0.254 0.607 1
Pr2 Pr 0.000 0.500 0.010 1
```

Peak list (12 most intense, 10° ≤ 2θ ≤ 90°, sorted by position)
hkl  2θ (°)  I (rel.)
0 2 0  14.73  11
0 1 1  15.99  17
1 0 1  27.63  12
0 0 2  28.58  24
0 4 0  29.71  32
1 2 1  31.45  100
0 2 2  32.30  19
0 4 2  41.70  17
1 0 3  50.05  10
1 2 3  52.46  10
1 6 1  53.84  24
1 4 3  59.28  19

=====

(12)
For ZrZnPt2, the GGA-PBE geometry in Alexandria gives the computed X-ray diffraction stick pattern in this record (Cu Kα, 1.54184 Å).

Atomic structure:
```
data_ZrZnPt2
_chemical_formula_sum 'Zr2 Zn2 Pt4'
_symmetry_space_group_name_H-M 'C m m m'
_symmetry_Int_Tables_number 65
_symmetry_space_group_name_Hall '-C 2 2'
_cell_length_a 5.792
_cell_length_b 6.376
_cell_length_c 3.671
_cell_angle_alpha 90.00
_cell_angle_beta 90.00
_cell_angle_gamma 90.00
loop_
_atom_site_label
_atom_site_type_symbol
_atom_site_fract_x
_atom_site_fract_y
_atom_site_fract_z
_atom_site_occupancy
Zr1 Zr 0.000 0.000 0.000 1
Zn1 Zn 0.000 0.500 0.000 1
Pt1 Pt 0.250 0.250 0.500 1
```

Peak list (12 most intense, 10° ≤ 2θ ≤ 90°, sorted by position)
hkl  2θ (°)  I (rel.)
0 0 1  24.25  23
0 2 0  27.99  17
2 0 0  30.88  13
0 2 1  37.36  100
2 0 1  39.64  85
2 2 0  42.16  71
2 2 1  49.23  15
0 0 2  49.67  22
0 4 0  57.85  14
2 2 2  67.14  36
2 4 1  72.41  29
4 2 1  76.83  24